No. 1
Computed powder X-ray diffraction pattern
Compound: Nb3PbCN
Radiation: a wavelength of 1.5418 Å
Structure: a structure optimized by DFT (PBE)
No peak broadening, texture or thermal motion is included.

Most intense lines, 2θ from 5° to 70°, by angle:
| d (Å) | I (rel.) |
| --- | --- |
| 9.822 | 17 |
| 2.788 | 17 |
| 2.455 | 24 |
| 2.425 | 100 |
| 1.843 | 13 |
| 1.610 | 23 |
| 1.412 | 18 |
| 1.346 | 22 |

a b c (Å): 3.2198 3.2198 19.6431
angles (deg): 90.00 90.00 120.00
Fractional positions:
Nb  0.0000  0.0000  0.0000
Nb  0.0000  0.0000  0.5000
Nb  0.3333  0.6667  0.1232
Nb  0.3333  0.6667  0.3745
Nb  0.6667  0.3333  0.6255
Nb  0.6667  0.3333  0.8768
Pb  0.0000  0.0000  0.2483
Pb  0.0000  0.0000  0.7517
C  0.3333  0.6667  0.5676
C  0.6667  0.3333  0.4324
N  0.3333  0.6667  0.9362
N  0.6667  0.3333  0.0638

=====

No. 2
Computed powder X-ray diffraction pattern
Compound: Al4Ni3Pt
Radiation: a wavelength of 1.5418 Å
Structure: a structure optimized by DFT (PBE)
No peak broadening, texture or thermal motion is included.

Most intense lines, 2θ from 5° to 70°, by angle:
| d (Å) | I (rel.) |
| --- | --- |
| 4.704 | 59 |
| 3.334 | 75 |
| 3.319 | 39 |
| 2.712 | 58 |
| 2.107 | 100 |
| 2.100 | 94 |
| 1.928 | 33 |
| 1.918 | 67 |

a b c (Å): 4.7041 4.7041 4.7041
angles (deg): 89.74 89.74 89.74
Fractional positions:
Al  0.0000  0.0000  0.0000
Al  0.3206  0.5180  0.8168
Al  0.5180  0.8168  0.3206
Al  0.8168  0.3206  0.5180
Ni  0.0125  0.8094  0.5189
Ni  0.5189  0.0125  0.8094
Ni  0.8094  0.5189  0.0125
Pt  0.3069  0.3069  0.3069

=====

No. 3
Computed powder X-ray diffraction pattern
Compound: Sr2LiHg2N3
Radiation: a wavelength of 1.5418 Å
Structure: a structure optimized by DFT (PBE)
No peak broadening, texture or thermal motion is included.

Most intense lines, 2θ from 5° to 70°, by angle:
| d (Å) | I (rel.) |
| --- | --- |
| 6.171 | 43 |
| 4.110 | 100 |
| 3.035 | 39 |
| 2.992 | 52 |
| 2.543 | 54 |
| 2.340 | 36 |
| 2.279 | 28 |
| 2.022 | 32 |

a b c (Å): 7.1414 7.1414 6.9812
angles (deg): 97.01 97.01 119.58
Fractional positions:
Sr  0.1883  0.2779  0.4057
Sr  0.2779  0.1883  0.9057
Sr  0.7221  0.8117  0.0943
Sr  0.8117  0.7221  0.5943
Li  0.1649  0.8351  0.2500
Li  0.8351  0.1649  0.7500
Hg  0.1981  0.6248  0.9077
Hg  0.3752  0.8019  0.5923
Hg  0.6248  0.1981  0.4077
Hg  0.8019  0.3752  0.0923
N  0.0280  0.7896  0.9784
N  0.2104  0.9720  0.5216
N  0.4277  0.5723  0.7500
N  0.5723  0.4277  0.2500
N  0.7896  0.0280  0.4784
N  0.9720  0.2104  0.0216

=====

No. 4
Computed powder X-ray diffraction pattern
Compound: Pr3Mg3AgPtAu
Radiation: a wavelength of 1.5418 Å
Structure: a structure optimized by DFT (PBE)
No peak broadening, texture or thermal motion is included.

Most intense lines, 2θ from 5° to 70°, by angle:
| d (Å) | I (rel.) |
| --- | --- |
| 6.747 | 31 |
| 3.896 | 48 |
| 2.853 | 88 |
| 2.627 | 100 |
| 2.249 | 35 |
| 2.178 | 30 |
| 2.094 | 23 |
| 1.452 | 23 |

a b c (Å): 7.7910 7.7910 4.1888
angles (deg): 90.00 90.00 120.00
Fractional positions:
Pr  0.0920  0.7467  0.0000
Pr  0.2533  0.3453  0.0000
Pr  0.6547  0.9080  0.0000
Mg  0.4231  0.0873  0.5000
Mg  0.6642  0.5769  0.5000
Mg  0.9127  0.3358  0.5000
Ag  0.6667  0.3333  0.0000
Pt  0.3333  0.6667  0.5000
Au  0.0000  0.0000  0.5000

=====

No. 5
Computed powder X-ray diffraction pattern
Compound: LaCdAg2
Radiation: a wavelength of 1.5418 Å
Structure: a structure optimized by DFT (PBE)
No peak broadening, texture or thermal motion is included.

Most intense lines, 2θ from 5° to 70°, by angle:
| d (Å) | I (rel.) |
| --- | --- |
| 2.623 | 20 |
| 2.570 | 29 |
| 2.542 | 100 |
| 2.336 | 13 |
| 1.836 | 13 |
| 1.762 | 9 |
| 1.478 | 18 |
| 1.453 | 9 |

a b c (Å): 5.1399 7.0462 5.2460
angles (deg): 90.00 90.00 90.00
Fractional positions:
La  0.2500  0.2500  0.1947
La  0.7500  0.7500  0.8053
Cd  0.2500  0.7500  0.2316
Cd  0.7500  0.2500  0.7684
Ag  0.2500  0.0010  0.6918
Ag  0.2500  0.4990  0.6918
Ag  0.7500  0.5010  0.3082
Ag  0.7500  0.9990  0.3082

=====

No. 6
Computed powder X-ray diffraction pattern
Compound: Re16Ni13
Radiation: a wavelength of 1.5418 Å
Structure: a structure optimized by DFT (PBE)
No peak broadening, texture or thermal motion is included.

Most intense lines, 2θ from 5° to 70°, by angle:
| d (Å) | I (rel.) |
| --- | --- |
| 3.755 | 25 |
| 2.655 | 16 |
| 2.458 | 13 |
| 2.299 | 11 |
| 2.168 | 100 |
| 1.961 | 47 |
| 1.877 | 11 |
| 1.804 | 28 |

a b c (Å): 7.9648 7.9648 7.9648
angles (deg): 109.47 109.47 109.47
Fractional positions:
Re  0.0000  0.0000  0.6518
Re  0.0000  0.1967  0.3822
Re  0.0000  0.3822  0.1967
Re  0.0000  0.6518  0.0000
Re  0.1855  0.8033  0.8033
Re  0.1967  0.0000  0.3822
Re  0.1967  0.3822  0.0000
Re  0.3482  0.3482  0.3482
Re  0.3822  0.0000  0.1967
Re  0.3822  0.1967  0.0000
Re  0.6178  0.6178  0.8145
Re  0.6178  0.8145  0.6178
Re  0.6518  0.0000  0.0000
Re  0.8033  0.1855  0.8033
Re  0.8033  0.8033  0.1855
Re  0.8145  0.6178  0.6178
Ni  0.0000  0.0000  0.0000
Ni  0.0000  0.3992  0.6802
Ni  0.0000  0.6802  0.3992
Ni  0.2810  0.6008  0.6008
Ni  0.3198  0.3198  0.7190
Ni  0.3198  0.7190  0.3198
Ni  0.3992  0.0000  0.6802
Ni  0.3992  0.6802  0.0000
Ni  0.6008  0.2810  0.6008
Ni  0.6008  0.6008  0.2810
Ni  0.6802  0.0000  0.3992
Ni  0.6802  0.3992  0.0000
Ni  0.7190  0.3198  0.3198

=====

No. 7
Computed powder X-ray diffraction pattern
Compound: SmGd2Tl3Ni3
Radiation: a wavelength of 1.5418 Å
Structure: a structure optimized by DFT (PBE)
No peak broadening, texture or thermal motion is included.

Most intense lines, 2θ from 5° to 70°, by angle:
| d (Å) | I (rel.) |
| --- | --- |
| 2.687 | 88 |
| 2.488 | 100 |
| 2.194 | 21 |
| 2.082 | 15 |
| 1.900 | 17 |
| 1.646 | 20 |
| 1.510 | 34 |
| 1.404 | 24 |

a b c (Å): 3.8001 7.6018 7.6018
angles (deg): 120.00 90.00 90.00
Fractional positions:
Sm  0.0000  0.0000  0.0000
Gd  0.0000  0.1837  0.5917
Gd  0.0000  0.5917  0.1837
Tl  0.5000  0.3336  0.3336
Tl  0.5000  0.5901  0.8513
Tl  0.5000  0.8513  0.5901
Ni  0.0000  0.5914  0.5914
Ni  0.5000  0.2597  0.9244
Ni  0.5000  0.9244  0.2597

=====

No. 8
Computed powder X-ray diffraction pattern
Compound: TeAuF7
Radiation: a wavelength of 1.5418 Å
Structure: a structure optimized by DFT (PBE)
No peak broadening, texture or thermal motion is included.

Most intense lines, 2θ from 5° to 70°, by angle:
| d (Å) | I (rel.) |
| --- | --- |
| 6.652 | 70 |
| 4.254 | 100 |
| 3.732 | 45 |
| 3.644 | 43 |
| 3.026 | 68 |
| 2.797 | 31 |
| 2.676 | 40 |
| 2.619 | 26 |

a b c (Å): 6.0031 6.1386 6.7401
angles (deg): 97.75 94.39 94.82
Fractional positions:
Te  0.1501  0.2266  0.2779
Te  0.8499  0.7734  0.7221
Au  0.4356  0.7759  0.0652
Au  0.5644  0.2241  0.9348
F  0.0843  0.5197  0.2648
F  0.1116  0.8406  0.5938
F  0.1191  0.8186  0.9994
F  0.2473  0.2505  0.8845
F  0.3020  0.3308  0.5295
F  0.3950  0.9274  0.3318
F  0.4795  0.6356  0.7925
F  0.5205  0.3644  0.2075
F  0.6050  0.0726  0.6682
F  0.6980  0.6692  0.4705
F  0.7527  0.7495  0.1155
F  0.8809  0.1814  0.0006
F  0.8884  0.1594  0.4062
F  0.9157  0.4803  0.7352

=====

No. 9
Computed powder X-ray diffraction pattern
Compound: TbZrTeC
Radiation: a wavelength of 1.5418 Å
Structure: a structure optimized by DFT (PBE)
No peak broadening, texture or thermal motion is included.

Most intense lines, 2θ from 5° to 70°, by angle:
| d (Å) | I (rel.) |
| --- | --- |
| 3.173 | 25 |
| 2.617 | 100 |
| 2.314 | 14 |
| 1.870 | 13 |
| 1.832 | 25 |
| 1.501 | 18 |
| 1.436 | 19 |
| 1.387 | 12 |

a b c (Å): 3.6641 3.6641 13.8826
angles (deg): 90.00 90.00 120.00
Fractional positions:
Tb  0.3333  0.6667  0.0000
Tb  0.6667  0.3333  0.5000
Zr  0.3333  0.6667  0.6828
Zr  0.6667  0.3333  0.1828
Te  0.3333  0.6667  0.3329
Te  0.6667  0.3333  0.8329
C  0.0000  0.0000  0.1019
C  0.0000  0.0000  0.6019

=====

No. 10
Computed powder X-ray diffraction pattern
Compound: Sr2Zn2HgAs2O2
Radiation: a wavelength of 1.5418 Å
Structure: a structure optimized by DFT (PBE)
No peak broadening, texture or thermal motion is included.

Most intense lines, 2θ from 5° to 70°, by angle:
| d (Å) | I (rel.) |
| --- | --- |
| 3.088 | 37 |
| 2.930 | 46 |
| 2.827 | 100 |
| 2.265 | 35 |
| 2.184 | 75 |
| 1.728 | 47 |
| 1.572 | 24 |
| 1.544 | 27 |

a b c (Å): 9.7725 9.7725 9.7725
angles (deg): 154.18 154.18 36.84
Fractional positions:
Sr  0.0889  0.0889  0.0000
Sr  0.9111  0.9111  0.0000
Zn  0.2500  0.7500  0.5000
Zn  0.7500  0.2500  0.5000
Hg  0.5000  0.5000  0.0000
As  0.3284  0.3284  0.0000
As  0.6716  0.6716  0.0000
O  0.0000  0.5000  0.5000
O  0.5000  0.0000  0.5000